1.
For Hg2AsF6, the GGA-PBE geometry in the Materials Project gives the simulated powder diffraction line list in this record (CuKα).
No peak broadening, texture or thermal motion is included.

Structural model:
a = 6.8270 Å, b = 6.8270 Å, c = 14.0319 Å
α = 90.00°, β = 90.00°, γ = 90.00°
Space group I4_1/amd (No. 141, origin choice 2)
Symmetry-distinct sites (fractional):
Hg1 0.0000 0.0000 0.0000 [8 per cell]
As1 0.0000 0.2500 0.3750 [4 per cell]
F1 0.0000 0.2500 0.2493 [8 per cell]
F2 0.1847 0.0653 0.3750 [16 per cell]

The 8 most intense peaks (2θ = 15–90°), by angle:
2θ (°), d [Å], I (rel.), (hkl)
23.05, 3.859, 73, 1 0 3
29.09, 3.069, 100, 2 0 2
29.95, 2.983, 78, 2 1 1
34.56, 2.596, 27, 1 0 5
35.10, 2.557, 25, 2 1 3
45.62, 1.988, 42, 2 2 4
47.10, 1.929, 27, 2 0 6
48.52, 1.876, 29, 3 2 1



2.
For HgAsF7, the GGA-PBE geometry in the Materials Project gives the simulated powder diffraction line list in this record (CuKα).
No peak broadening, texture or thermal motion is included.

Structural model:
a = 7.2989 Å, b = 10.2190 Å, c = 8.1100 Å
α = 90.00°, β = 102.94°, γ = 90.00°
Space group P2_1/c (No. 14)
Symmetry-distinct sites (fractional):
Hg1 0.2236 0.2481 0.4101 [4 per cell]
As1 0.3058 0.5646 0.7028 [4 per cell]
F1 0.1389 0.0084 0.3071 [4 per cell]
F2 0.1555 0.7015 0.6487 [4 per cell]
F3 0.1792 0.1915 0.6507 [4 per cell]
F4 0.1919 0.0121 0.0092 [4 per cell]
F5 0.4228 0.6400 0.8923 [4 per cell]
F6 0.4464 0.0781 0.2549 [4 per cell]
F7 0.4703 0.6333 0.5951 [4 per cell]

The 8 most intense peaks (2θ = 15–90°), by angle:
2θ (°), d [Å], I (rel.), (hkl)
15.18, 5.838, 100, 1 1 0
17.14, 5.172, 22, 1 1 -1
17.36, 5.110, 23, 0 2 0
24.15, 3.686, 51, 0 1 2
24.77, 3.594, 20, 1 1 -2
25.04, 3.557, 35, 2 0 0
29.08, 3.071, 84, 1 3 0
43.63, 2.075, 25, 2 4 0



3.
For AsI2F6, the GGA-PBE geometry in the Materials Project gives the simulated powder diffraction line list in this record (CuKα).
No peak broadening, texture or thermal motion is included.

Structural model:
a = 14.5869 Å, b = 11.5863 Å, c = 7.0645 Å
α = 90.00°, β = 103.53°, γ = 90.00°
Space group C2/m (No. 12)
Symmetry-distinct sites (fractional):
As1 0.0331 0.0000 0.3443 [4 per cell]
I1 0.1749 0.3009 0.2534 [8 per cell]
F1 0.0300 0.1273 0.7381 [8 per cell]
F2 0.0854 0.0000 0.1477 [4 per cell]
F3 0.1480 0.0000 0.5013 [4 per cell]
F4 0.2205 0.2922 0.7852 [8 per cell]

The 8 most intense peaks (2θ = 15–90°), by angle:
2θ (°), d [Å], I (rel.), (hkl)
15.72, 5.636, 52, 2 0 -1
19.79, 4.486, 100, 2 2 0
20.00, 4.440, 65, 2 0 1
20.29, 4.377, 42, 3 1 0
25.94, 3.434, 59, 0 0 2
27.93, 3.194, 42, 1 3 1
29.84, 2.994, 57, 4 2 -1
30.29, 2.951, 54, 0 2 2



4.
For AsI2F6, the GGA-PBE geometry in the Materials Project gives the simulated powder diffraction line list in this record (CuKα).
No peak broadening, texture or thermal motion is included.

Structural model:
a = 12.6472 Å, b = 10.3227 Å, c = 6.0332 Å
α = 90.00°, β = 101.27°, γ = 90.00°
Space group C2/m (No. 12)
Symmetry-distinct sites (fractional):
As1 0.1937 0.0000 0.4324 [4 per cell]
I1 0.0810 0.3417 0.8936 [8 per cell]
F1 0.0601 0.0000 0.2824 [4 per cell]
F2 0.1664 0.1226 0.6165 [8 per cell]
F3 0.1676 0.5000 0.4330 [4 per cell]
F4 0.2264 0.1215 0.2411 [8 per cell]

The 8 most intense peaks (2θ = 15–90°), by angle:
2θ (°), d [Å], I (rel.), (hkl)
19.81, 4.482, 100, 1 1 1
22.71, 3.916, 65, 2 0 1
22.86, 3.889, 50, 0 2 1
26.89, 3.316, 60, 1 3 0
29.80, 2.998, 22, 4 0 -1
31.61, 2.830, 33, 1 3 1
41.96, 2.153, 26, 1 3 2
45.24, 2.004, 26, 5 3 -1



5.
For AsI2F6, the GGA-PBE geometry in the Materials Project gives the simulated powder diffraction line list in this record (CuKα).
No peak broadening, texture or thermal motion is included.

Structural model:
a = 7.2617 Å, b = 12.6506 Å, c = 15.4760 Å
α = 90.00°, β = 103.57°, γ = 90.00°
Space group C2/m (No. 12)
Symmetry-distinct sites (fractional):
As1 0.0424 0.0000 0.2813 [4 per cell]
I1 0.2156 0.2471 0.4135 [8 per cell]
F1 0.0700 0.0000 0.8307 [4 per cell]
F2 0.1135 0.1000 0.6959 [8 per cell]
F3 0.1567 0.0000 0.3979 [4 per cell]
F4 0.2039 0.1009 0.2660 [8 per cell]

The 8 most intense peaks (2θ = 15–90°), by angle:
2θ (°), d [Å], I (rel.), (hkl)
15.20, 5.831, 100, 0 2 1
16.62, 5.333, 51, 1 1 -2
18.33, 4.841, 87, 0 2 2
24.53, 3.629, 41, 2 0 -1
25.23, 3.529, 45, 2 0 -2
28.97, 3.082, 57, 2 2 0
38.21, 2.355, 40, 2 4 -2
41.48, 2.177, 37, 2 2 -6